# CsAuI2F
Simulated powder diffractogram, Cu Kα X-rays. Input: a PBE-relaxed structure.
Intensities are scaled so that the largest is 100.

The 8 most intense peaks (10 to 90 degrees two-theta), by intensity:
- hkl 1 1 2, 2θ = 22.61°, d = 3.933 Å, I = 100
- hkl 2 2 0, 2θ = 31.09°, d = 2.876 Å, I = 80
- hkl 2 2 4, 2θ = 46.17°, d = 1.966 Å, I = 50
- hkl 0 0 2, 2θ = 16.45°, d = 5.388 Å, I = 49
- hkl 3 1 2, 2θ = 38.79°, d = 2.322 Å, I = 48
- hkl 0 0 4, 2θ = 33.26°, d = 2.694 Å, I = 32
- hkl 2 2 2, 2θ = 35.37°, d = 2.537 Å, I = 29
- hkl 4 0 0, 2θ = 44.55°, d = 2.034 Å, I = 28

```
data_CsAuI2F
_chemical_formula_sum 'Cs4 Au4 I8 F4'
_cell_length_a 8.1358
_cell_length_b 8.1358
_cell_length_c 10.7765
_cell_angle_alpha 90.00
_cell_angle_beta 90.00
_cell_angle_gamma 90.00
_space_group_name_H-M_alt 'I 4/m m m'
_space_group_IT_number 139
_space_group_name_Hall '-I 4 2'
loop_
_atom_site_label
_atom_site_type_symbol
_atom_site_fract_x
_atom_site_fract_y
_atom_site_fract_z
_atom_site_occupancy
Cs1 Cs 0.0000 0.5000 0.2500 1
Au1 Au 0.0000 0.0000 0.0000 1
Au2 Au 0.0000 0.0000 0.5000 1
I1 I 0.2354 0.2354 0.0000 1
F1 F 0.0000 0.0000 0.3124 1
```